# ErTmPuIn
Theoretical powder X-ray diffraction pattern, Cu Kα X-rays. Input: a structure optimized by DFT (PBE).
Neutral-atom scattering factors, no anomalous dispersion.

Top 8 peaks for 15° ≤ 2θ ≤ 90°, by angle:
two_theta	Rel. int.	h k l
20.31	6	1 1 1
33.47	100	2 2 0
39.47	4	3 1 1
48.06	18	4 0 0
59.83	38	4 2 2
70.32	12	4 4 0
80.16	17	6 2 0
89.71	4	4 4 4

Atomic structure:
```
data_ErTmPuIn
_cell_length_a 7.5729
_cell_length_b 7.5729
_cell_length_c 7.5729
_cell_angle_alpha 90.00
_cell_angle_beta 90.00
_cell_angle_gamma 90.00
_space_group_name_H-M_alt 'F -4 3 m'
_space_group_IT_number 216
_space_group_name_Hall 'F -4 2 3'
loop_
_atom_site_label
_atom_site_fract_x
_atom_site_fract_y
_atom_site_fract_z
Er1 0.0000 0.0000 0.0000
Tm1 0.0000 0.0000 0.5000
Pu1 0.2500 0.2500 0.2500
In1 0.2500 0.2500 0.7500
```

---

# Rb3Er3InSe8
Theoretical powder X-ray diffraction pattern, Cu Kα X-rays. Input: a structure optimized by DFT (PBE).
Neutral-atom scattering factors, no anomalous dispersion.

Top 8 peaks for 15° ≤ 2θ ≤ 90°, by angle:
two_theta	Rel. int.	h k l
28.95	100	4 0 0
35.83	19	4 0 1
38.60	34	2 2 2
44.03	28	6 2 -2
44.10	12	0 4 0
47.90	11	2 2 3
53.62	12	4 4 0
71.83	10	8 4 -4

Atomic structure:
```
data_Rb3Er3InSe8
_cell_length_a 14.2505
_cell_length_b 8.2136
_cell_length_c 9.5094
_cell_angle_alpha 90.00
_cell_angle_beta 120.02
_cell_angle_gamma 90.00
_space_group_name_H-M_alt 'C 1 2/m 1'
_space_group_IT_number 12
loop_
_space_group_symop_operation_xyz
'x,y,z'
'-x,-y,-z'
'-x,y,-z'
'x,-y,z'
'x+1/2,y+1/2,z'
'-x+1/2,-y+1/2,-z'
'-x+1/2,y+1/2,-z'
'x+1/2,-y+1/2,z'
loop_
_atom_site_label
_atom_site_fract_x
_atom_site_fract_y
_atom_site_fract_z
Rb1 0.0000 0.0000 0.0000
Rb2 0.2500 0.2500 0.0000
Er1 0.0000 0.5000 0.5000
Er2 0.2500 0.2500 0.5000
In1 0.0000 0.0000 0.5000
Se1 0.0190 0.2490 0.3080
Se2 0.2300 0.0000 0.6919
Se3 0.2315 0.5000 0.6945
```